# Ca2SnS4
Theoretical powder XRD pattern, CuKα. Input: a DFT-relaxed cell (PBE, Alexandria).
Kinematic intensities with the Lorentz-polarization factor, no thermal factor.

Main lines, by angle (2θ from 5° to 70°):
d 6.915, I 70, (0 2 0)
d 4.727, I 100, (1 1 1)
d 3.557, I 52, (0 0 2)
d 3.399, I 73, (1 3 1)
d 3.180, I 30, (2 0 1)
d 2.515, I 47, (2 0 2)
d 2.424, I 46, (1 5 1)
d 2.364, I 32, (2 2 2)
d 2.023, I 41, (1 3 3)
d 1.934, I 38, (0 6 2)

Cell and atoms:
```
data_Ca2SnS4
_chemical_formula_sum 'Ca8 Sn4 S16'
_cell_length_a 7.108
_cell_length_b 13.830
_cell_length_c 7.119
_cell_angle_alpha 90.00
_cell_angle_beta 90.00
_cell_angle_gamma 90.00
_space_group_name_H-M_alt 'C 2 2 21'
_space_group_IT_number 20
loop_
_space_group_symop_operation_xyz
'x,y,z'
'-x,-y,z+1/2'
'x,-y,-z'
'-x,y,-z+1/2'
'x+1/2,y+1/2,z'
'-x+1/2,-y+1/2,z+1/2'
'x+1/2,-y+1/2,-z'
'-x+1/2,y+1/2,-z+1/2'
loop_
_atom_site_label
_atom_site_type_symbol
_atom_site_fract_x
_atom_site_fract_y
_atom_site_fract_z
Ca1 Ca 0.154 0.146 0.477
Sn1 Sn 0.211 0.500 0.500
S1 S 0.000 0.028 0.750
S2 S 0.000 0.425 0.250
S3 S 0.239 0.173 0.103
```